Calculated XRD peak list
Compound: Na15Sn4
Radiation: λ = 1.5418 Å (Cu Kα)
Structure: a cell relaxed with GGA-PBE

Peak list (12 most intense, 2θ = 10–80°, low angle first)
two_theta, d_spacing, I (rel.)
16.5, 5.377, 35
19.1, 4.657, 97
21.3, 4.165, 38
31.9, 2.808, 100
33.3, 2.689, 41
34.7, 2.583, 95
37.4, 2.405, 40
44.6, 2.032, 22
48.9, 1.863, 23
50.9, 1.792, 23
54.9, 1.673, 36
60.5, 1.531, 34

Crystal structure
Cell lengths 13.1719, 13.1719, 13.1719 Å; angles 90.00, 90.00, 90.00 degrees
Space group I-43d (No. 220)
Asymmetric unit:
Na (0.0000, 0.2500, 0.3750)
Na (0.0381, 0.3765, 0.1539)
Sn (0.0409, 0.4591, 0.5409)

=====

Calculated XRD peak list
Compound: Na2SrSn4
Radiation: λ = 1.5418 Å (Cu Kα)
Structure: a cell relaxed with GGA-PBE

Peak list (12 most intense, 2θ = 10–80°, low angle first)
two_theta, d_spacing, I (rel.)
19.1, 4.650, 100
27.8, 3.211, 33
28.1, 3.180, 70
29.1, 3.069, 69
30.6, 2.918, 96
30.9, 2.895, 34
34.0, 2.639, 48
35.2, 2.550, 51
36.9, 2.435, 37
38.1, 2.365, 91
38.7, 2.327, 62
40.4, 2.231, 44

Crystal structure
Cell lengths 19.3349, 6.7364, 6.6594 Å; angles 90.00, 94.07, 90.00 degrees
Space group C2/c (No. 15)
Asymmetric unit:
Na (0.2020, 0.0980, 0.1999)
Sr (0.0000, 0.2789, 0.2500)
Sn (0.0776, 0.2029, 0.7726)
Sn (0.1534, 0.4787, 0.5138)

=====

Calculated XRD peak list
Compound: Na10SrSn12
Radiation: λ = 1.5418 Å (Cu Kα)
Structure: a cell relaxed with GGA-PBE

Peak list (12 most intense, 2θ = 10–80°, low angle first)
two_theta, d_spacing, I (rel.)
11.0, 8.030, 50
19.1, 4.636, 100
27.2, 3.278, 25
29.4, 3.035, 46
33.5, 2.677, 63
35.3, 2.539, 22
37.1, 2.421, 86
40.5, 2.227, 46
43.7, 2.073, 25
57.4, 1.606, 33
59.8, 1.545, 26
75.9, 1.254, 23

Crystal structure
Cell lengths 11.3562, 11.3562, 11.3562 Å; angles 90.00, 90.00, 90.00 degrees
Space group I-43m (No. 217)
Asymmetric unit:
Na (0.0000, 0.2500, 0.5000)
Na (0.1940, 0.1940, 0.1940)
Sr (0.0000, 0.0000, 0.0000)
Sn (0.0917, 0.0917, 0.7198)